Tb3Pm6Sc2: simulated powder X-ray diffraction pattern (copper Kα), based on a PBE-relaxed structure.
Lines closer than 0.1° are merged.

Largest 8 diffraction maxima, by angle, 2θ = 10–90°:
2theta  I (rel.)
30.8  100
31.9  11
32.2  28
36.2  64
51.1  24
53.0  19
61.8  26
64.2  12

Cell and atoms:
abc: 6.1888 6.1888 11.2974
angles: 95.26 95.26 120.05
Element x y z (fractional)
Tb1 0.0000 0.0000 0.0000
Tb2 0.3337 0.6663 0.0000
Tb3 0.6663 0.3337 0.0000
Pm1 0.0890 0.4211 0.2637
Pm2 0.2468 0.2468 0.7364
Pm3 0.4211 0.0890 0.2637
Pm4 0.5789 0.9110 0.7363
Pm5 0.7532 0.7532 0.2636
Pm6 0.9110 0.5789 0.7363
Sc1 0.1666 0.8334 0.5000
Sc2 0.8334 0.1666 0.5000